For MnBeI4, a PBE-relaxed structure gives the simulated X-ray powder pattern in this record (Cu Kα, 1.54184 Å).

Most intense lines, 2θ = 10–90°, sorted by position:
Position (°2θ), I_rel, h k l
17.54, 100, 0 0 2
22.86, 60, 2 0 0
28.96, 67, 2 0 2
32.56, 39, 2 2 0
37.22, 55, 2 2 2
42.66, 23, 2 0 4
48.94, 24, 2 2 4
50.26, 24, 4 0 2

```
MnBeI4
1.0
7.7792 0.0000 0.0000
0.0000 7.7792 0.0000
0.0000 0.0000 10.1109
Mn Be I
2 2 8
Direct
0.0000 0.0000 0.0000 Mn
0.0000 0.0000 0.5000 Mn
0.0000 0.5000 0.0000 Be
0.5000 0.0000 0.5000 Be
0.2330 0.2675 0.0000 I
0.2330 0.7325 0.0000 I
0.2675 0.2330 0.5000 I
0.2675 0.7670 0.5000 I
0.7325 0.2330 0.5000 I
0.7325 0.7670 0.5000 I
0.7670 0.2675 0.0000 I
0.7670 0.7325 0.0000 I
```